Record 1
Tb4DySc3S8: computed powder XRD pattern (λ = 1.5418 Å (Cu Kα)), based on a GGA-PBE-relaxed structure.
Intensities are scaled so that the largest is 100.

Top 8 peaks for 10° ≤ 2θ ≤ 90°, sorted by position:
- 14.1 deg, intensity 22
- 27.2 deg, intensity 18
- 28.5 deg, intensity 44
- 33.0 deg, intensity 100
- 47.3 deg, intensity 35
- 47.4 deg, intensity 35
- 56.2 deg, intensity 21
- 58.9 deg, intensity 18

Crystal structure
```
Tb4DySc3S8
1.0
3.836 2.215 6.289
-3.836 2.215 6.289
0.000 -4.430 6.289
Tb Dy Sc S
4 1 3 8
direct
0.000 0.000 0.000
0.000 0.500 0.500
0.500 0.000 0.500
0.500 0.500 0.000
0.500 0.500 0.500
0.000 0.000 0.500
0.000 0.500 0.000
0.500 0.000 0.000
0.238 0.749 0.749
0.244 0.244 0.244
0.251 0.251 0.762
0.251 0.762 0.251
0.749 0.238 0.749
0.749 0.749 0.238
0.756 0.756 0.756
0.762 0.251 0.251
```

Record 2
CaLaTl: computed powder XRD pattern (λ = 1.5418 Å (Cu Kα)), based on a GGA-PBE-relaxed structure.
Intensities are scaled so that the largest is 100.

Top 8 peaks for 10° ≤ 2θ ≤ 90°, sorted by position:
- 10.5 deg, intensity 40
- 19.7 deg, intensity 23
- 26.6 deg, intensity 54
- 30.3 deg, intensity 100
- 31.3 deg, intensity 76
- 32.0 deg, intensity 25
- 33.6 deg, intensity 47
- 36.2 deg, intensity 34

Crystal structure
```
CaLaTl
1.0
4.396 0.000 0.000
0.000 5.332 0.000
-1.798 0.000 8.397
Ca La Tl
2 2 2
direct
0.243 0.250 0.495
0.757 0.750 0.505
0.153 0.750 0.126
0.847 0.250 0.874
0.372 0.750 0.783
0.628 0.250 0.217
```

Record 3
NbH2Cl5: computed powder XRD pattern (λ = 1.5418 Å (Cu Kα)), based on a GGA-PBE-relaxed structure.
Intensities are scaled so that the largest is 100.

Top 8 peaks for 10° ≤ 2θ ≤ 90°, sorted by position:
- 14.1 deg, intensity 37
- 15.0 deg, intensity 100
- 15.6 deg, intensity 27
- 16.3 deg, intensity 92
- 17.5 deg, intensity 58
- 20.1 deg, intensity 39
- 30.6 deg, intensity 32
- 30.9 deg, intensity 53

Crystal structure
```
NbH2Cl5
1.0
6.282 0.000 0.000
-2.432 6.297 0.000
-0.848 -0.572 11.845
Nb H Cl
2 4 10
direct
0.235 0.132 0.248
0.765 0.868 0.752
0.237 0.643 0.235
0.282 0.946 0.670
0.718 0.054 0.330
0.763 0.357 0.765
0.145 0.094 0.705
0.205 0.452 0.341
0.267 0.795 0.152
0.274 0.267 0.070
0.410 0.802 0.633
0.590 0.198 0.367
0.726 0.733 0.930
0.733 0.205 0.848
0.795 0.548 0.659
0.855 0.906 0.295
```